This entry pairs a crystal structure of Ca3Ta3N5 with its simulated powder XRD pattern. Radiation: Cu Kα X-rays. Structure: a DFT-relaxed cell (GGA-PBE, Alexandria).
Peak positions follow from Bragg's law for the DFT cell and can differ from measured ones.

The 10 most intense peaks (2θ from 10° to 80°), in order of rising 2θ:
| two_theta | I/Imax | hkl |
| --- | --- | --- |
| 12.6 | 100 | 0 1 0 |
| 13.1 | 49 | 0 1 -1 |
| 16.8 | 45 | 1 0 0 |
| 21.2 | 45 | 0 1 1 |
| 24.6 | 41 | 1 1 -2 |
| 31.2 | 42 | 2 -1 0 |
| 31.5 | 80 | 1 2 -2 |
| 33.0 | 83 | 0 2 1 |
| 34.0 | 28 | 1 -3 1 |
| 34.1 | 73 | 1 0 -3 |

Lattice parameters (Å, degrees): 5.973 8.083 8.405 109.89 106.07 104.93
Fractional coordinates of all 22 atoms:
Ca 0.161 0.346 0.370
Ca 0.202 0.155 0.722
Ca 0.216 0.928 0.099
Ca 0.784 0.072 0.901
Ca 0.798 0.845 0.278
Ca 0.839 0.654 0.630
Ta 0.233 0.494 0.059
Ta 0.375 0.794 0.436
Ta 0.392 0.631 0.803
Ta 0.608 0.369 0.197
Ta 0.625 0.206 0.564
Ta 0.767 0.506 0.941
N 0.077 0.581 0.862
N 0.241 0.201 0.039
N 0.258 0.719 0.609
N 0.262 0.017 0.419
N 0.472 0.416 0.663
N 0.528 0.584 0.337
N 0.738 0.983 0.581
N 0.742 0.281 0.391
N 0.759 0.799 0.961
N 0.923 0.419 0.138